1.
This entry pairs a crystal structure of HoAlInNi with its calculated powder diffraction line list. Radiation: copper Kα. Structure: a GGA-PBE-relaxed structure.
No peak broadening, texture or thermal motion is included.

The 10 most intense peaks (2θ = 5–70°), low angle first:
| 2θ/deg | Rel. int. |
| --- | --- |
| 26.33 | 34 |
| 33.97 | 30 |
| 34.18 | 45 |
| 34.32 | 99 |
| 36.19 | 100 |
| 36.39 | 23 |
| 37.40 | 53 |
| 43.58 | 47 |
| 58.74 | 28 |
| 67.85 | 24 |

Structural model:
a = 10.2541 Å, b = 4.1537 Å, c = 7.1437 Å
α = 90.00°, β = 90.60°, γ = 90.00°
Element x y z (fractional)
Ho (0.0645, 0.0000, 0.2679)
Ho (0.4355, 0.5000, 0.7321)
Ho (0.5645, 0.5000, 0.2679)
Ho (0.9355, 0.0000, 0.7321)
Al (0.1532, 0.5000, 0.5533)
Al (0.3468, 0.0000, 0.4467)
Al (0.6532, 0.0000, 0.5533)
Al (0.8468, 0.5000, 0.4467)
In (0.1445, 0.5000, 0.9487)
In (0.3555, 0.0000, 0.0513)
In (0.6445, 0.0000, 0.9487)
In (0.8555, 0.5000, 0.0513)
Ni (0.2151, 0.0000, 0.7273)
Ni (0.2849, 0.5000, 0.2727)
Ni (0.7151, 0.5000, 0.7273)
Ni (0.7849, 0.0000, 0.2727)

***

2.
This entry pairs a crystal structure of Ho2AlInPt4 with its calculated powder diffraction line list. Radiation: copper Kα. Structure: a GGA-PBE-relaxed structure.
No peak broadening, texture or thermal motion is included.

The 10 most intense peaks (2θ = 5–70°), low angle first:
| 2θ/deg | Rel. int. |
| --- | --- |
| 23.16 | 31 |
| 25.14 | 5 |
| 30.38 | 5 |
| 37.64 | 100 |
| 40.69 | 70 |
| 46.17 | 4 |
| 47.33 | 5 |
| 56.63 | 31 |
| 64.15 | 4 |
| 65.86 | 10 |

Structural model:
a = 4.4352 Å, b = 4.4352 Å, c = 9.1557 Å
α = 90.00°, β = 90.00°, γ = 120.00°
Element x y z (fractional)
Ho (0.3333, 0.6667, 0.2545)
Ho (0.6667, 0.3333, 0.7455)
Al (0.0000, 0.0000, 0.5000)
In (0.0000, 0.0000, 0.0000)
Pt (0.3333, 0.6667, 0.5814)
Pt (0.3333, 0.6667, 0.8999)
Pt (0.6667, 0.3333, 0.1001)
Pt (0.6667, 0.3333, 0.4186)

***

3.
This entry pairs a crystal structure of LaHoAlIr2 with its calculated powder diffraction line list. Radiation: copper Kα. Structure: a GGA-PBE-relaxed structure.
No peak broadening, texture or thermal motion is included.

The 10 most intense peaks (2θ = 5–70°), low angle first:
| 2θ/deg | Rel. int. |
| --- | --- |
| 23.70 | 47 |
| 26.27 | 37 |
| 33.44 | 49 |
| 36.88 | 81 |
| 37.70 | 78 |
| 38.95 | 100 |
| 41.32 | 20 |
| 43.55 | 36 |
| 58.36 | 43 |
| 66.15 | 42 |

Structural model:
a = 4.1564 Å, b = 5.8713 Å, c = 8.7410 Å
α = 90.00°, β = 90.00°, γ = 90.00°
Element x y z (fractional)
La (0.0000, 0.0000, 0.0000)
La (0.5000, 0.5000, 0.5000)
Ho (0.0000, 0.0000, 0.6027)
Ho (0.5000, 0.5000, 0.1027)
Al (0.0000, 0.5000, 0.8014)
Al (0.5000, 0.0000, 0.3014)
Ir (0.0000, 0.2568, 0.3003)
Ir (0.0000, 0.7432, 0.3003)
Ir (0.5000, 0.2432, 0.8003)
Ir (0.5000, 0.7568, 0.8003)

***

4.
This entry pairs a crystal structure of TbHo2Al3Si2Ir with its calculated powder diffraction line list. Radiation: copper Kα. Structure: a GGA-PBE-relaxed structure.
No peak broadening, texture or thermal motion is included.

The 10 most intense peaks (2θ = 5–70°), low angle first:
| 2θ/deg | Rel. int. |
| --- | --- |
| 21.07 | 60 |
| 25.82 | 29 |
| 29.90 | 56 |
| 33.55 | 51 |
| 36.86 | 100 |
| 39.90 | 21 |
| 42.89 | 23 |
| 45.54 | 38 |
| 50.69 | 16 |
| 59.97 | 33 |

Structural model:
a = 4.2171 Å, b = 6.9048 Å, c = 6.9048 Å
α = 120.08°, β = 90.00°, γ = 90.00°
Element x y z (fractional)
Tb (0.0000, 0.0000, 0.0000)
Ho (0.0000, 0.1681, 0.5839)
Ho (0.0000, 0.5839, 0.1681)
Al (0.5000, 0.3504, 0.3504)
Al (0.5000, 0.5829, 0.8166)
Al (0.5000, 0.8166, 0.5829)
Si (0.5000, 0.2512, 0.9160)
Si (0.5000, 0.9160, 0.2512)
Ir (0.0000, 0.5813, 0.5813)

***

5.
This entry pairs a crystal structure of HoMg2Al3Sn2Pt with its calculated powder diffraction line list. Radiation: copper Kα. Structure: a GGA-PBE-relaxed structure.
No peak broadening, texture or thermal motion is included.

The 10 most intense peaks (2θ = 5–70°), low angle first:
| 2θ/deg | Rel. int. |
| --- | --- |
| 14.11 | 29 |
| 24.80 | 24 |
| 25.47 | 100 |
| 32.77 | 22 |
| 35.67 | 28 |
| 36.34 | 66 |
| 42.93 | 23 |
| 43.24 | 16 |
| 44.36 | 23 |
| 44.52 | 18 |

Structural model:
a = 4.2138 Å, b = 7.1840 Å, c = 7.1840 Å
α = 121.80°, β = 90.00°, γ = 90.00°
Element x y z (fractional)
Ho (0.0000, 0.0000, 0.0000)
Mg (0.0000, 0.4176, 0.7966)
Mg (0.0000, 0.7966, 0.4176)
Al (0.5000, 0.1956, 0.4143)
Al (0.5000, 0.4143, 0.1956)
Al (0.5000, 0.6508, 0.6508)
Sn (0.5000, 0.0989, 0.7455)
Sn (0.5000, 0.7455, 0.0989)
Pt (0.0000, 0.4265, 0.4265)

***

6.
This entry pairs a crystal structure of HoAlNO with its calculated powder diffraction line list. Radiation: copper Kα. Structure: a GGA-PBE-relaxed structure.
No peak broadening, texture or thermal motion is included.

The 10 most intense peaks (2θ = 5–70°), low angle first:
| 2θ/deg | Rel. int. |
| --- | --- |
| 11.99 | 74 |
| 26.59 | 69 |
| 28.78 | 19 |
| 31.27 | 34 |
| 34.02 | 100 |
| 35.96 | 39 |
| 48.38 | 19 |
| 49.36 | 19 |
| 62.57 | 18 |
| 63.40 | 17 |

Structural model:
a = 5.7208 Å, b = 7.3842 Å, c = 4.9951 Å
α = 90.00°, β = 90.00°, γ = 90.00°
Element x y z (fractional)
Ho (0.0491, 0.1341, 0.0000)
Ho (0.4509, 0.1341, 0.5000)
Ho (0.5491, 0.8659, 0.0000)
Ho (0.9509, 0.8659, 0.5000)
Al (0.0876, 0.5959, 0.9488)
Al (0.4124, 0.5959, 0.4488)
Al (0.5876, 0.4041, 0.9488)
Al (0.9124, 0.4041, 0.4488)
N (0.1055, 0.5884, 0.5746)
N (0.3945, 0.5884, 0.0746)
N (0.6055, 0.4116, 0.5746)
N (0.8945, 0.4116, 0.0746)
O (0.0608, 0.1819, 0.5089)
O (0.4392, 0.1819, 0.0089)
O (0.5608, 0.8181, 0.5089)
O (0.9392, 0.8181, 0.0089)

***

7.
This entry pairs a crystal structure of Ho3Al2Ni6 with its calculated powder diffraction line list. Radiation: copper Kα. Structure: a GGA-PBE-relaxed structure.
No peak broadening, texture or thermal motion is included.

The 10 most intense peaks (2θ = 5–70°), low angle first:
| 2θ/deg | Rel. int. |
| --- | --- |
| 24.57 | 23 |
| 28.44 | 12 |
| 31.88 | 40 |
| 35.02 | 27 |
| 37.93 | 24 |
| 40.66 | 19 |
| 43.24 | 100 |
| 56.81 | 18 |
| 60.85 | 13 |
| 64.74 | 17 |

Structural model:
a = 7.6871 Å, b = 7.6871 Å, c = 7.6871 Å
α = 109.47°, β = 109.47°, γ = 109.47°
Element x y z (fractional)
Ho (0.0000, 0.2932, 0.2932)
Ho (0.0000, 0.7068, 0.7068)
Ho (0.2932, 0.0000, 0.2932)
Ho (0.2932, 0.2932, 0.0000)
Ho (0.7068, 0.0000, 0.7068)
Ho (0.7068, 0.7068, 0.0000)
Al (0.0000, 0.0000, 0.5000)
Al (0.0000, 0.5000, 0.0000)
Al (0.5000, 0.0000, 0.0000)
Al (0.5000, 0.5000, 0.5000)
Ni (0.0000, 0.3346, 0.6654)
Ni (0.0000, 0.6654, 0.3346)
Ni (0.3308, 0.6654, 0.6654)
Ni (0.3346, 0.0000, 0.6654)
Ni (0.3346, 0.3346, 0.6692)
Ni (0.3346, 0.6654, 0.0000)
Ni (0.3346, 0.6692, 0.3346)
Ni (0.6654, 0.0000, 0.3346)
Ni (0.6654, 0.3308, 0.6654)
Ni (0.6654, 0.3346, 0.0000)
Ni (0.6654, 0.6654, 0.3308)
Ni (0.6692, 0.3346, 0.3346)

***

8.
This entry pairs a crystal structure of Ho2Al2NiPt3 with its calculated powder diffraction line list. Radiation: copper Kα. Structure: a GGA-PBE-relaxed structure.
No peak broadening, texture or thermal motion is included.

The 10 most intense peaks (2θ = 5–70°), low angle first:
| 2θ/deg | Rel. int. |
| --- | --- |
| 9.71 | 5 |
| 23.89 | 47 |
| 31.02 | 8 |
| 38.25 | 100 |
| 42.01 | 58 |
| 48.90 | 7 |
| 58.11 | 30 |
| 61.07 | 5 |
| 66.39 | 6 |
| 66.54 | 8 |

Structural model:
a = 4.3017 Å, b = 4.3017 Å, c = 9.1043 Å
α = 90.00°, β = 90.00°, γ = 120.00°
Element x y z (fractional)
Ho (0.0000, 0.0000, 0.0000)
Ho (0.3333, 0.6667, 0.4922)
Al (0.6667, 0.3333, 0.2443)
Al (0.6667, 0.3333, 0.7475)
Ni (0.3333, 0.6667, 0.1689)
Pt (0.0000, 0.0000, 0.3169)
Pt (0.0000, 0.0000, 0.6621)
Pt (0.3333, 0.6667, 0.8378)